Starting from a structure optimized by DFT (PBE), the PXRD pattern of Pm8Nd2Sc3 was computed for CuKα.
No peak broadening, texture or thermal motion is included.

Cell and atoms:
Cell lengths 8.815, 8.815, 5.998 Å; angles 107.30, 107.30, 81.29 degrees
Atoms (fractional coordinates):
Pm (0.083, 0.083, 0.269)
Pm (0.112, 0.581, 0.852)
Pm (0.364, 0.364, 0.387)
Pm (0.419, 0.888, 0.148)
Pm (0.581, 0.112, 0.852)
Pm (0.636, 0.636, 0.613)
Pm (0.888, 0.419, 0.148)
Pm (0.917, 0.917, 0.731)
Nd (0.184, 0.184, 0.835)
Nd (0.816, 0.816, 0.165)
Sc (0.237, 0.763, 0.500)
Sc (0.500, 0.500, 0.000)
Sc (0.763, 0.237, 0.500)

Largest 6 diffraction maxima, most intense first, 2θ from 10° to 80°:
2θ (°)	d/Å	intensity
31.32	2.856	100.0
31.15	2.871	41.3
29.99	2.979	19.8
32.84	2.727	19.6
39.82	2.264	16.1
55.54	1.655	12.5